# Dy2Si9B36C
Theoretical X-ray powder pattern, λ = 1.5418 Å (Cu Kα). Input: a crystal structure in the Materials Project, relaxed with PBE.

Unit cell a=8.041 b=8.041 c=8.012 alpha=101.98 beta=101.98 gamma=77.93
Sites, in units of the cell vectors:
Dy  0.250  0.750  0.000
Dy  0.750  0.250  0.000
Si  0.013  0.013  0.837
Si  0.017  0.406  0.246
Si  0.096  0.483  0.754
Si  0.178  0.178  0.073
Si  0.320  0.320  0.929
Si  0.406  0.017  0.246
Si  0.483  0.096  0.754
Si  0.487  0.487  0.161
Si  0.794  0.794  0.457
B  0.047  0.756  0.495
B  0.124  0.768  0.304
B  0.124  0.951  0.481
B  0.171  0.570  0.394
B  0.171  0.857  0.676
B  0.197  0.624  0.626
B  0.312  0.872  0.378
B  0.338  0.642  0.329
B  0.338  0.925  0.607
B  0.379  0.546  0.523
B  0.379  0.728  0.700
B  0.473  0.732  0.518
B  0.546  0.379  0.523
B  0.549  0.729  0.871
B  0.569  0.859  0.081
B  0.570  0.171  0.394
B  0.624  0.197  0.626
B  0.624  0.624  0.055
B  0.640  0.926  0.910
B  0.642  0.338  0.329
B  0.728  0.379  0.700
B  0.729  0.549  0.871
B  0.732  0.473  0.518
B  0.733  0.733  0.775
B  0.755  0.755  0.204
B  0.756  0.047  0.495
B  0.767  0.947  0.126
B  0.768  0.124  0.304
B  0.857  0.171  0.676
B  0.859  0.569  0.081
B  0.872  0.312  0.378
B  0.872  0.872  0.936
B  0.925  0.338  0.607
B  0.926  0.640  0.910
B  0.947  0.767  0.126
B  0.951  0.124  0.481
C  0.683  0.683  0.566

Peak list (10 most intense, 10 to 90 degrees two-theta, sorted by position)
2theta	I/Imax
11.5	100
14.7	57
17.5	45
23.0	69
23.8	44
23.9	49
29.7	68
34.7	40
35.5	51
39.2	51